This entry pairs a crystal structure of Be15Co2Os2 with its computed PXRD pattern. Radiation: Cu Kα (λ = 1.5418 Å). Structure: a cell relaxed with PBE.
Kinematic intensities with the Lorentz-polarization factor, no thermal factor.

Top 6 peaks for 2θ from 15° to 90°, by angle:
2θ/deg, intensity, index
24.72, 100, 1 1 0
35.25, 32, 1 1 3
36.27, 27, 1 0 4
43.51, 25, 3 0 0
50.69, 34, 2 2 0
51.46, 21, 2 1 4

Lattice parameters (Å, degrees): 7.2051 7.2051 10.7939 90.00 90.00 120.00
Space group R-3m (No. 166, hexagonal axes)
Unique sites:
Be 0.0000 0.3014 0.0000
Be 0.0000 0.5000 0.5000
Be 0.0076 0.5038 0.1536
Co 0.0000 0.0000 0.1022
Os 0.0000 0.0000 0.3524

This entry pairs a crystal structure of Be2CoOs with its computed PXRD pattern. Radiation: Cu Kα (λ = 1.5418 Å). Structure: a cell relaxed with PBE.
Kinematic intensities with the Lorentz-polarization factor, no thermal factor.

Top 6 peaks for 2θ from 15° to 90°, by angle:
2θ/deg, intensity, index
22.64, 33, 0 0 2
26.55, 100, 0 1 1
34.05, 59, 1 0 1
42.24, 36, 0 1 3
46.24, 22, 0 0 4
46.80, 87, 1 1 2

Lattice parameters (Å, degrees): 2.7948 3.7137 7.8535 90.00 90.00 90.00
Space group Imm2 (No. 44)
Unique sites:
Be 0.0000 0.0000 0.0000
Be 0.0000 0.5000 0.2676
Co 0.0000 0.5000 0.7452
Os 0.0000 0.0000 0.5064

This entry pairs a crystal structure of BeCo2ReOs with its computed PXRD pattern. Radiation: Cu Kα (λ = 1.5418 Å). Structure: a cell relaxed with PBE.
Kinematic intensities with the Lorentz-polarization factor, no thermal factor.

Top 6 peaks for 2θ from 15° to 90°, by angle:
2θ/deg, intensity, index
29.24, 25, 1 1 0
29.91, 100, 1 0 1
41.83, 38, 2 0 0
43.77, 17, 0 0 2
52.27, 43, 2 1 1
62.15, 24, 2 0 2

Lattice parameters (Å, degrees): 4.3193 4.3193 4.1361 90.00 90.00 90.00
Space group P4/mmm (No. 123)
Unique sites:
Be 0.0000 0.0000 0.0000
Co 0.0000 0.5000 0.5000
Re 0.0000 0.0000 0.5000
Os 0.5000 0.5000 0.0000

This entry pairs a crystal structure of Be2Co2P with its computed PXRD pattern. Radiation: Cu Kα (λ = 1.5418 Å). Structure: a cell relaxed with PBE.
Kinematic intensities with the Lorentz-polarization factor, no thermal factor.

Top 6 peaks for 2θ from 15° to 90°, by angle:
2θ/deg, intensity, index
29.00, 32, 0 0 1
36.45, 75, 2 1 0
37.21, 29, 1 1 1
44.10, 56, 2 0 1
47.24, 100, 2 1 1
52.50, 33, 3 1 0

Lattice parameters (Å, degrees): 5.5115 5.5115 3.0793 90.00 90.00 90.00
Space group P4/mbm (No. 127)
Unique sites:
Be 0.1280 0.3720 0.0000
Co 0.1694 0.6694 0.5000
P 0.0000 0.0000 0.0000